[1]
Diffraction record for Mo2H2O7. The powder XRD pattern is computed, not measured: it uses a structure optimized by DFT (PBE+U) and Cu Kα (λ = 1.5418 Å).
Lines closer than 0.1° are merged.

Cell and atoms:
```
data_Mo2H2O7
_chemical_formula_sum 'Mo4 H4 O14'
_symmetry_space_group_name_H-M 'P 1 21 1'
_symmetry_Int_Tables_number 4
_cell_length_a 7.402
_cell_length_b 3.808
_cell_length_c 9.468
_cell_angle_alpha 90.00
_cell_angle_beta 104.39
_cell_angle_gamma 90.00
loop_
_symmetry_equiv_pos_as_xyz
'x,y,z'
'-x,y+1/2,-z'
loop_
_atom_site_label
_atom_site_type_symbol
_atom_site_fract_x
_atom_site_fract_y
_atom_site_fract_z
Mo1 Mo 0.167 0.000 0.440
Mo2 Mo 0.184 0.534 0.975
H1 H 0.312 0.233 0.718
H2 H 0.401 0.141 0.296
O1 O 0.024 0.051 0.261
O2 O 0.100 0.034 0.967
O3 O 0.110 0.530 0.470
O4 O 0.286 0.047 0.644
O5 O 0.313 0.525 0.154
O6 O 0.355 0.508 0.880
O7 O 0.395 0.038 0.391
```

Main lines, sorted by position (10° ≤ 2θ ≤ 90°):
Position (°2θ)	I_rel
12.3	66
19.4	75
25.5	38
27.2	100
27.5	34
29.3	45
37.9	25
47.8	21


[2]
Diffraction record for Mo2HO6. The powder XRD pattern is computed, not measured: it uses a structure optimized by DFT (PBE+U) and Cu Kα (λ = 1.5418 Å).
Lines closer than 0.1° are merged.

Cell and atoms:
```
data_Mo2HO6
_chemical_formula_sum 'Mo4 H2 O12'
_symmetry_space_group_name_H-M 'C 1 m 1'
_symmetry_Int_Tables_number 8
_cell_length_a 15.191
_cell_length_b 3.823
_cell_length_c 3.905
_cell_angle_alpha 90.00
_cell_angle_beta 90.02
_cell_angle_gamma 90.00
loop_
_symmetry_equiv_pos_as_xyz
'x,y,z'
'x,-y,z'
'x+1/2,y+1/2,z'
'x+1/2,-y+1/2,z'
loop_
_atom_site_label
_atom_site_type_symbol
_atom_site_fract_x
_atom_site_fract_y
_atom_site_fract_z
Mo1 Mo 0.000 0.000 0.000
Mo2 Mo 0.182 0.000 0.499
H1 H 0.336 0.000 0.285
O1 O 0.015 0.500 0.999
O2 O 0.031 0.000 0.500
O3 O 0.163 0.000 0.000
O4 O 0.169 0.500 0.500
O5 O 0.308 0.000 0.512
O6 O 0.388 0.500 0.013
```

Main lines, sorted by position (10° ≤ 2θ ≤ 90°):
Position (°2θ)	I_rel
11.7	67
23.4	25
24.0	91
25.7	100
33.3	31
35.5	33
53.7	22
54.8	22